(1)
Calculated powder diffraction line list
Compound: PuZr
Radiation: a wavelength of 1.5418 Å
Structure: a GGA-PBE-relaxed structure
Kinematic intensities with the Lorentz-polarization factor, no thermal factor.

Most intense lines, 2θ from 5° to 70°, low angle first:
hkl  d_spacing  intensity
0 0 1  8.442  26.5
0 1 2  3.314  11.1
0 0 3  2.810  25.7
0 2 0  2.676  42.3
2 1 -2  2.498  54.2
2 1 1  2.488  100.0
0 2 3  1.938  17.8
2 3 -2  1.508  22.0
2 3 1  1.505  11.1
4 2 -1  1.389  11.1

```
data_PuZr
_cell_length_a 6.5026
_cell_length_b 5.3517
_cell_length_c 8.6097
_cell_angle_alpha 90.00
_cell_angle_beta 101.34
_cell_angle_gamma 90.00
_space_group_name_H-M_alt 'P 1 m 1'
_space_group_IT_number 6
loop_
_space_group_symop_operation_xyz
'x,y,z'
'x,-y,z'
loop_
_atom_site_label
_atom_site_type_symbol
_atom_site_fract_x
_atom_site_fract_y
_atom_site_fract_z
_atom_site_occupancy
Pu1 Pu 0.0000 0.0000 0.0000 1
Pu2 Pu 0.0419 0.5000 0.2313 1
Pu3 Pu 0.3199 0.0000 0.3412 1
Pu4 Pu 0.4954 0.0000 0.9919 1
Pu5 Pu 0.5379 0.5000 0.2280 1
Pu6 Pu 0.7193 0.5000 0.8879 1
Zr1 Zr 0.1521 0.0000 0.6621 1
Zr2 Zr 0.2115 0.5000 0.8799 1
Zr3 Zr 0.3858 0.5000 0.5719 1
Zr4 Zr 0.6555 0.0000 0.6572 1
Zr5 Zr 0.8202 0.0000 0.3430 1
Zr6 Zr 0.8824 0.5000 0.5597 1
```

---

(2)
Calculated powder diffraction line list
Compound: Rb4Re6S13
Radiation: a wavelength of 1.5418 Å
Structure: a GGA-PBE-relaxed structure
Kinematic intensities with the Lorentz-polarization factor, no thermal factor.

Most intense lines, 2θ from 5° to 70°, low angle first:
hkl  d_spacing  intensity
0 2 0  8.392  77.9
1 1 -1  7.716  100.0
0 0 2  6.924  34.8
1 1 1  6.766  63.5
0 2 2  5.341  13.4
2 6 -1  2.424  11.5
3 3 -4  2.355  11.5
4 2 0  2.336  12.0
3 7 0  1.927  24.3
2 8 1  1.891  11.7

```
data_Rb4Re6S13
_cell_length_a 9.8763
_cell_length_b 16.7844
_cell_length_c 14.0534
_cell_angle_alpha 90.00
_cell_angle_beta 99.79
_cell_angle_gamma 90.00
_space_group_name_H-M_alt 'C 1 2/c 1'
_space_group_IT_number 15
loop_
_space_group_symop_operation_xyz
'x,y,z'
'-x,-y,-z'
'-x,y,-z+1/2'
'x,-y,z+1/2'
'x+1/2,y+1/2,z'
'-x+1/2,-y+1/2,-z'
'-x+1/2,y+1/2,-z+1/2'
'x+1/2,-y+1/2,z+1/2'
loop_
_atom_site_label
_atom_site_type_symbol
_atom_site_fract_x
_atom_site_fract_y
_atom_site_fract_z
_atom_site_occupancy
Rb1 Rb 0.2253 0.0297 0.3356 1
Rb2 Rb 0.2327 0.3621 0.3828 1
Re1 Re 0.1242 0.2208 0.0769 1
Re2 Re 0.1361 0.2079 0.8916 1
Re3 Re 0.1641 0.3486 0.9781 1
S1 S 0.0000 0.1394 0.7500 1
S2 S 0.0479 0.1905 0.3230 1
S3 S 0.0506 0.2764 0.5489 1
S4 S 0.0563 0.4824 0.9447 1
S5 S 0.1058 0.0942 0.9934 1
S6 S 0.1553 0.3511 0.1482 1
S7 S 0.1818 0.3292 0.8104 1
```

---

(3)
Calculated powder diffraction line list
Compound: Rb2ReSe2S
Radiation: a wavelength of 1.5418 Å
Structure: a GGA-PBE-relaxed structure
Kinematic intensities with the Lorentz-polarization factor, no thermal factor.

Most intense lines, 2θ from 5° to 70°, low angle first:
hkl  d_spacing  intensity
2 0 -1  7.080  46.0
1 1 0  5.990  58.4
1 1 -1  5.781  82.6
3 1 -2  3.728  54.3
0 2 0  3.524  100.0
4 0 -1  3.396  50.7
2 0 -3  3.359  42.3
4 2 -1  2.445  27.1
6 0 -4  2.198  30.3
6 2 -4  1.865  28.0

```
data_Rb2ReSe2S
_cell_length_a 14.2606
_cell_length_b 7.0482
_cell_length_c 10.2039
_cell_angle_alpha 90.00
_cell_angle_beta 127.15
_cell_angle_gamma 90.00
_space_group_name_H-M_alt 'C 1 2/m 1'
_space_group_IT_number 12
loop_
_space_group_symop_operation_xyz
'x,y,z'
'-x,-y,-z'
'-x,y,-z'
'x,-y,z'
'x+1/2,y+1/2,z'
'-x+1/2,-y+1/2,-z'
'-x+1/2,y+1/2,-z'
'x+1/2,-y+1/2,z'
loop_
_atom_site_label
_atom_site_type_symbol
_atom_site_fract_x
_atom_site_fract_y
_atom_site_fract_z
_atom_site_occupancy
Rb1 Rb 0.0851 0.0000 0.3618 1
Rb2 Rb 0.1971 0.5000 0.8111 1
Re1 Re 0.1017 0.5000 0.1545 1
Se1 Se 0.1058 0.5000 0.3910 1
Se2 Se 0.2075 0.0000 0.7830 1
S1 S 0.0000 0.2416 0.0000 1
```

---

(4)
Calculated powder diffraction line list
Compound: RbTaReS5
Radiation: a wavelength of 1.5418 Å
Structure: a GGA-PBE-relaxed structure
Kinematic intensities with the Lorentz-polarization factor, no thermal factor.

Most intense lines, 2θ from 5° to 70°, low angle first:
hkl  d_spacing  intensity
1 0 0  6.840  14.9
0 1 0  6.773  100.0
1 1 0  5.854  20.5
1 -1 0  4.182  25.1
2 1 1  3.451  18.5
0 2 0  3.387  14.6
2 0 -1  3.185  16.4
0 0 3  2.551  23.7
2 0 2  2.483  13.0
2 3 -1  1.962  13.8

```
data_RbTaReS5
_cell_length_a 7.2665
_cell_length_b 7.9423
_cell_length_c 8.5018
_cell_angle_alpha 64.35
_cell_angle_beta 84.27
_cell_angle_gamma 70.49
_space_group_name_H-M_alt 'P -1'
_space_group_IT_number 2
loop_
_space_group_symop_operation_xyz
'x,y,z'
'-x,-y,-z'
loop_
_atom_site_label
_atom_site_type_symbol
_atom_site_fract_x
_atom_site_fract_y
_atom_site_fract_z
_atom_site_occupancy
Rb1 Rb 0.0875 0.1397 0.1941 1
Ta1 Ta 0.2521 0.4772 0.4740 1
Re1 Re 0.4919 0.5051 0.1665 1
S1 S 0.0870 0.2601 0.5183 1
S2 S 0.1828 0.6971 0.1734 1
S3 S 0.2631 0.3885 0.8001 1
S4 S 0.4149 0.7113 0.5275 1
S5 S 0.4697 0.7637 0.8738 1
```

---

(5)
Calculated powder diffraction line list
Compound: Rb2TcTeSeS
Radiation: a wavelength of 1.5418 Å
Structure: a GGA-PBE-relaxed structure
Kinematic intensities with the Lorentz-polarization factor, no thermal factor.

Most intense lines, 2θ from 5° to 70°, low angle first:
hkl  d_spacing  intensity
0 1 0  6.936  53.6
1 0 0  6.168  45.5
2 1 1  3.651  76.4
0 1 -2  3.391  100.0
0 2 1  3.377  73.4
2 0 -1  2.646  56.6
2 2 -1  2.482  50.7
0 3 -1  2.154  39.7
2 1 -3  1.821  23.2
4 3 0  1.607  32.1

```
data_Rb2TcTeSeS
_cell_length_a 7.3022
_cell_length_b 7.8968
_cell_length_c 9.2375
_cell_angle_alpha 72.75
_cell_angle_beta 66.72
_cell_angle_gamma 62.51
_space_group_name_H-M_alt 'P -1'
_space_group_IT_number 2
loop_
_space_group_symop_operation_xyz
'x,y,z'
'-x,-y,-z'
loop_
_atom_site_label
_atom_site_type_symbol
_atom_site_fract_x
_atom_site_fract_y
_atom_site_fract_z
_atom_site_occupancy
Rb1 Rb 0.0733 0.2163 0.1253 1
Rb2 Rb 0.2785 0.6001 0.3345 1
Tc1 Tc 0.3994 0.0633 0.6510 1
Te1 Te 0.4049 0.8040 0.8989 1
Se1 Se 0.2266 0.0103 0.5043 1
S1 S 0.2306 0.3597 0.7152 1
```

---

(6)
Calculated powder diffraction line list
Compound: Rb2WSeS2
Radiation: a wavelength of 1.5418 Å
Structure: a GGA-PBE-relaxed structure
Kinematic intensities with the Lorentz-polarization factor, no thermal factor.

Most intense lines, 2θ from 5° to 70°, low angle first:
hkl  d_spacing  intensity
0 1 0  6.945  43.0
1 0 1  5.771  86.3
1 1 0  5.665  51.1
0 0 2  4.055  33.2
1 -1 1  3.737  37.8
1 2 0  3.582  33.0
2 1 1  3.512  100.0
0 2 1  3.385  43.5
0 1 -2  3.290  33.8
-2 1 1  2.313  35.2

```
data_Rb2WSeS2
_cell_length_a 7.0490
_cell_length_b 7.6495
_cell_length_c 8.7673
_cell_angle_alpha 74.32
_cell_angle_beta 69.40
_cell_angle_gamma 66.73
_space_group_name_H-M_alt 'P -1'
_space_group_IT_number 2
loop_
_space_group_symop_operation_xyz
'x,y,z'
'-x,-y,-z'
loop_
_atom_site_label
_atom_site_type_symbol
_atom_site_fract_x
_atom_site_fract_y
_atom_site_fract_z
_atom_site_occupancy
Rb1 Rb 0.0937 0.1842 0.1397 1
Rb2 Rb 0.3477 0.5634 0.2958 1
W1 W 0.3823 0.0485 0.6630 1
Se1 Se 0.1699 0.3699 0.7236 1
S1 S 0.2753 0.9576 0.4866 1
S2 S 0.3798 0.8362 0.8983 1
```

---

(7)
Calculated powder diffraction line list
Compound: Rb2WSeS2
Radiation: a wavelength of 1.5418 Å
Structure: a GGA-PBE-relaxed structure
Kinematic intensities with the Lorentz-polarization factor, no thermal factor.

Most intense lines, 2θ from 5° to 70°, low angle first:
hkl  d_spacing  intensity
2 0 -1  6.875  67.6
1 1 0  5.988  74.5
1 1 -1  5.733  60.8
3 1 -2  3.645  65.6
0 2 0  3.526  100.0
4 0 -1  3.337  68.5
2 0 -3  3.307  35.7
2 2 1  2.568  33.2
6 0 -4  2.129  33.4
6 2 -4  1.823  36.7

```
data_Rb2WSeS2
_cell_length_a 13.8896
_cell_length_b 7.0519
_cell_length_c 9.9938
_cell_angle_alpha 90.00
_cell_angle_beta 125.30
_cell_angle_gamma 90.00
_space_group_name_H-M_alt 'C 1 2/m 1'
_space_group_IT_number 12
loop_
_space_group_symop_operation_xyz
'x,y,z'
'-x,-y,-z'
'-x,y,-z'
'x,-y,z'
'x+1/2,y+1/2,z'
'-x+1/2,-y+1/2,-z'
'-x+1/2,y+1/2,-z'
'x+1/2,-y+1/2,z'
loop_
_atom_site_label
_atom_site_type_symbol
_atom_site_fract_x
_atom_site_fract_y
_atom_site_fract_z
_atom_site_occupancy
Rb1 Rb 0.0798 0.0000 0.3636 1
Rb2 Rb 0.1971 0.5000 0.8176 1
W1 W 0.1081 0.5000 0.1622 1
Se1 Se 0.1139 0.5000 0.4068 1
S1 S 0.0000 0.2468 0.0000 1
S2 S 0.2078 0.0000 0.7773 1
```

---

(8)
Calculated powder diffraction line list
Compound: RbSmZnS3
Radiation: a wavelength of 1.5418 Å
Structure: a GGA-PBE-relaxed structure
Kinematic intensities with the Lorentz-polarization factor, no thermal factor.

Most intense lines, 2θ from 5° to 70°, low angle first:
hkl  d_spacing  intensity
1 0 -1  7.567  100.0
2 0 -2  3.783  33.9
0 0 3  3.078  23.5
2 1 -1  3.006  63.2
2 1 0  2.954  48.8
1 0 3  2.649  29.2
1 1 -3  2.531  25.4
2 1 -4  2.042  22.5
0 2 0  2.035  20.9
3 1 2  1.902  18.9

```
data_RbSmZnS3
_cell_length_a 9.0367
_cell_length_b 4.0698
_cell_length_c 9.7077
_cell_angle_alpha 90.00
_cell_angle_beta 108.07
_cell_angle_gamma 90.00
_space_group_name_H-M_alt 'P 1 21/m 1'
_space_group_IT_number 11
loop_
_space_group_symop_operation_xyz
'x,y,z'
'-x,-y,-z'
'-x,y+1/2,-z'
'x,-y+1/2,z'
loop_
_atom_site_label
_atom_site_type_symbol
_atom_site_fract_x
_atom_site_fract_y
_atom_site_fract_z
_atom_site_occupancy
Rb1 Rb 0.2100 0.2500 0.2377 1
Sm1 Sm 0.3301 0.7500 0.8573 1
Zn1 Zn 0.0818 0.2500 0.6083 1
S1 S 0.1128 0.2500 0.8530 1
S2 S 0.1882 0.7500 0.5367 1
S3 S 0.4633 0.7500 0.1540 1
```

---

(9)
Calculated powder diffraction line list
Compound: Rb2TaSnS6
Radiation: a wavelength of 1.5418 Å
Structure: a GGA-PBE-relaxed structure
Kinematic intensities with the Lorentz-polarization factor, no thermal factor.

Most intense lines, 2θ from 5° to 70°, low angle first:
hkl  d_spacing  intensity
1 1 -1  4.989  25.9
1 1 -3  3.548  100.0
2 0 -2  3.535  26.1
0 2 0  3.520  25.6
0 0 4  2.524  27.6
2 2 -2  2.494  50.1
2 0 -6  2.053  24.8
3 1 -1  2.043  25.5
1 3 1  2.038  23.2
2 2 -6  1.774  33.8

```
data_Rb2TaSnS6
_cell_length_a 7.0697
_cell_length_b 7.0402
_cell_length_c 12.3205
_cell_angle_alpha 90.00
_cell_angle_beta 124.97
_cell_angle_gamma 90.00
_space_group_name_H-M_alt 'P 1 21/c 1'
_space_group_IT_number 14
loop_
_space_group_symop_operation_xyz
'x,y,z'
'-x,-y,-z'
'-x,y+1/2,-z+1/2'
'x,-y+1/2,z+1/2'
loop_
_atom_site_label
_atom_site_type_symbol
_atom_site_fract_x
_atom_site_fract_y
_atom_site_fract_z
_atom_site_occupancy
Rb1 Rb 0.2441 0.0213 0.2486 1
Ta1 Ta 0.5000 0.0000 0.0000 1
Sn1 Sn 0.0000 0.0000 0.5000 1
S1 S 0.2111 0.2119 0.9817 1
S2 S 0.2767 0.7243 0.9870 1
S3 S 0.2894 0.5136 0.2594 1
```